The following is a calculated powder X-ray diffraction pattern of AcPm2Rh9. It was derived from a GGA-PBE-relaxed structure, using Cu Kα, 1.54184 Å.

Principal peaks in the range 5 to 70 degrees two-theta, by angle:
- hkl 1 0 7, 2θ = 30.4°, d 2.940, intensity 29
- hkl 0 1 8, 2θ = 33.1°, d 2.703, intensity 28
- hkl 1 1 0, 2θ = 33.4°, d 2.682, intensity 37
- hkl 0 2 1, 2θ = 38.9°, d 2.314, intensity 35
- hkl 1 1 6, 2θ = 39.3°, d 2.294, intensity 100
- hkl 2 0 2, 2θ = 39.4°, d 2.288, intensity 14
- hkl 0 0 12, 2θ = 40.7°, d 2.216, intensity 20
- hkl 2 0 5, 2θ = 42.5°, d 2.128, intensity 20
- hkl 1 2 8, 2θ = 59.6°, d 1.552, intensity 11
- hkl 3 0 6, 2θ = 63.7°, d 1.462, intensity 24

Crystal structure
```
data_AcPm2Rh9
_chemical_formula_sum 'Ac3 Pm6 Rh27'
_symmetry_space_group_name_H-M 'R -3 m'
_symmetry_Int_Tables_number 166
_symmetry_space_group_name_Hall '-R 3 2"'
_cell_length_a 5.3636
_cell_length_b 5.3636
_cell_length_c 26.5887
_cell_angle_alpha 90.00
_cell_angle_beta 90.00
_cell_angle_gamma 120.00
loop_
_atom_site_label
_atom_site_type_symbol
_atom_site_fract_x
_atom_site_fract_y
_atom_site_fract_z
Ac1 Ac 0.0000 0.0000 0.0000
Pm1 Pm 0.0000 0.0000 0.1396
Rh1 Rh 0.0000 0.0000 0.3328
Rh2 Rh 0.0000 0.0000 0.5000
Rh3 Rh 0.0004 0.5002 0.0830
```